The following is a simulated XRD peak list of Mn2Bi3O7. It was derived from a cell relaxed with GGA+U, using CuKα.
Kinematic intensities with the Lorentz-polarization factor, no thermal factor.

Largest 12 diffraction maxima, by angle, 10 to 90 degrees two-theta:
Position (°2θ)  intensity  h k l
21.9  17  1 1 0
22.0  18  1 1 -1
25.0  22  1 1 1
25.3  23  1 1 -2
26.0  28  0 0 3
30.5  100  1 1 2
30.7  31  0 2 0
30.9  65  1 1 -3
31.9  22  0 2 1
43.9  33  2 2 -1
44.1  15  0 0 5
51.4  24  1 3 -2

Structural model:
Lattice parameters (Å, degrees): 5.851 5.825 10.635 90.00 104.92 90.00
Space group P2_1 (No. 4)
One atom of each set of equivalent atoms:
Mn (0.124, 0.000, 0.289) x2
Mn (0.344, 0.995, 0.714) x2
Bi (0.082, 0.471, 0.127) x2
Bi (0.350, 0.594, 0.500) x2
Bi (0.459, 0.467, 0.870) x2
O (0.126, 0.231, 0.754) x2
O (0.130, 0.069, 0.074) x2
O (0.147, 0.751, 0.755) x2
O (0.273, 0.973, 0.495) x2
O (0.414, 0.726, 0.314) x2
O (0.426, 0.244, 0.312) x2
O (0.431, 0.578, 0.067) x2

***

The following is a simulated XRD peak list of MnBiO3. It was derived from a cell relaxed with GGA+U, using CuKα.
Kinematic intensities with the Lorentz-polarization factor, no thermal factor.

Largest 12 diffraction maxima, by angle, 10 to 90 degrees two-theta:
Position (°2θ)  intensity  h k l
21.7  37  2 0 -2
22.5  67  1 1 1
31.2  100  1 1 -3
31.7  95  3 1 -1
32.1  92  2 0 2
39.1  27  2 2 -2
44.2  25  4 0 -4
46.0  45  2 2 2
55.7  20  4 2 -4
56.3  31  6 0 -2
56.7  17  1 3 -3
57.2  20  5 1 1

Structural model:
Lattice parameters (Å, degrees): 9.817 5.578 10.022 90.00 111.39 90.00
Space group P2_1/c (No. 14)
One atom of each set of equivalent atoms:
Mn (0.000, 0.000, 0.000) x2
Mn (0.247, 0.024, 0.758) x4
Mn (0.500, 0.000, 0.500) x2
Bi (0.123, 0.021, 0.359) x4
Bi (0.387, 0.031, 0.124) x4
O (0.079, 0.247, 0.159) x4
O (0.110, 0.737, 0.172) x4
O (0.165, 0.061, 0.942) x4
O (0.355, 0.173, 0.336) x4
O (0.368, 0.064, 0.609) x4
O (0.399, 0.669, 0.396) x4

***

The following is a simulated XRD peak list of Mn2BiO5. It was derived from a cell relaxed with GGA+U, using CuKα.
Kinematic intensities with the Lorentz-polarization factor, no thermal factor.

Largest 12 diffraction maxima, by angle, 10 to 90 degrees two-theta:
Position (°2θ)  intensity  h k l
15.1  55  0 0 1
23.6  25  1 2 0
28.2  88  1 2 1
29.7  100  2 1 1
30.4  20  0 0 2
33.2  31  1 3 0
34.3  22  1 1 2
40.1  30  2 1 2
46.3  24  0 0 3
50.2  25  3 3 1
52.6  29  0 4 2
57.5  40  3 3 2

Structural model:
Lattice parameters (Å, degrees): 7.655 8.643 5.880 90.00 90.00 90.00
Space group Pbam (No. 55)
One atom of each set of equivalent atoms:
Mn (0.000, 0.000, 0.242) x4
Mn (0.094, 0.349, 0.000) x4
Bi (0.155, 0.665, 0.500) x4
O (0.000, 0.500, 0.216) x4
O (0.114, 0.201, 0.250) x8
O (0.145, 0.926, 0.000) x4
O (0.155, 0.943, 0.500) x4

***

The following is a simulated XRD peak list of Mn2Bi3O7. It was derived from a cell relaxed with GGA+U, using CuKα.
Kinematic intensities with the Lorentz-polarization factor, no thermal factor.

Largest 12 diffraction maxima, by angle, 10 to 90 degrees two-theta:
Position (°2θ)  intensity  h k l
15.8  11  1 1 0
22.0  23  1 1 1
25.2  24  3 1 1
26.0  16  6 0 0
30.7  100  5 1 1
30.8  20  0 0 2
32.1  10  2 0 2
44.0  26  10 0 0
51.5  15  3 1 3
53.8  13  11 1 1
54.6  13  5 3 1
54.7  12  10 0 2

Structural model:
Lattice parameters (Å, degrees): 20.573 5.833 5.802 90.00 90.00 90.00
Space group Cmc2_1 (No. 36)
One atom of each set of equivalent atoms:
Mn (0.106, 0.237, 0.000) x8
Bi (0.000, 0.339, 0.591) x4
Bi (0.185, 0.272, 0.476) x8
O (0.000, 0.288, 0.976) x4
O (0.095, 0.477, 0.722) x8
O (0.123, 0.002, 0.254) x8
O (0.214, 0.345, 0.078) x8